Structure and calculated powder diffraction line list of Li4Cr3CoP4O16 (a DFT-relaxed cell (PBE+U, Alexandria); a wavelength of 1.5418 Å).
Kinematic intensities with the Lorentz-polarization factor, no thermal factor.

Top 10 peaks for 10 to 90 degrees two-theta, by intensity:
index, d [Å], 2θ/deg, intensity
0 2 0, 3.136, 28.46, 1000
1 1 -3, 2.549, 35.21, 618
1 1 3, 2.531, 35.46, 607
1 1 -1, 3.568, 24.95, 482
1 1 1, 3.552, 25.07, 477
1 2 -1, 2.539, 35.35, 471
1 0 -1, 4.339, 20.47, 469
1 0 1, 4.310, 20.61, 415
0 0 2, 5.127, 17.29, 365
0 1 2, 3.970, 22.39, 272

Atomic structure:
Cell lengths 4.7690, 6.2726, 10.2554 Å; angles 90.00, 90.51, 90.00 degrees
Space group Pm (No. 6)
Symmetry-distinct sites (fractional):
Li: 0.0000 0.2469 0.0000 (multiplicity 2)
Li: 0.5110 0.2494 0.5004 (multiplicity 2)
Cr: 0.0541 0.5000 0.7185 (multiplicity 1)
Cr: 0.4524 0.5000 0.2148 (multiplicity 1)
Cr: 0.9562 0.0000 0.2841 (multiplicity 1)
Co: 0.5371 0.0000 0.7794 (multiplicity 1)
P: 0.0936 0.0000 0.5948 (multiplicity 1)
P: 0.4172 0.0000 0.0920 (multiplicity 1)
P: 0.5857 0.5000 0.9065 (multiplicity 1)
P: 0.9223 0.5000 0.4071 (multiplicity 1)
O: 0.2037 0.0000 0.4520 (multiplicity 1)
O: 0.2329 0.1960 0.6645 (multiplicity 2)
O: 0.2466 0.5000 0.3995 (multiplicity 1)
O: 0.2609 0.5000 0.9003 (multiplicity 1)
O: 0.2850 0.1980 0.1602 (multiplicity 2)
O: 0.3034 0.0000 0.9493 (multiplicity 1)
O: 0.6992 0.5000 0.0498 (multiplicity 1)
O: 0.7151 0.2988 0.8394 (multiplicity 2)
O: 0.7420 0.0000 0.1009 (multiplicity 1)
O: 0.7708 0.0000 0.6012 (multiplicity 1)
O: 0.7870 0.3014 0.3408 (multiplicity 2)
O: 0.8152 0.5000 0.5508 (multiplicity 1)